Entry 1:
Starting from a cell relaxed with PBE, the XRD peak list of Cr2SbTe was simulated for a wavelength of 1.5418 Å.
Peak positions follow from Bragg's law for the DFT cell and can differ from measured ones.

The 10 most intense peaks (2θ from 5° to 70°), in order of rising 2θ:
2θ/deg	I/Imax
27.90	7
28.56	100
37.71	55
43.77	42
49.77	21
52.71	8
53.10	17
57.65	6
59.12	14
68.41	8

```
data_Cr2SbTe
_chemical_formula_sum 'Cr2 Sb1 Te1'
_space_group_name_H-M_alt 'P -6 m 2'
_space_group_IT_number 187
_space_group_name_Hall 'P -6 2'
_cell_length_a 4.1365
_cell_length_b 4.1365
_cell_length_c 6.3956
_cell_angle_alpha 90.00
_cell_angle_beta 90.00
_cell_angle_gamma 120.00
loop_
_atom_site_label
_atom_site_type_symbol
_atom_site_fract_x
_atom_site_fract_y
_atom_site_fract_z
Cr1 Cr 0.0000 0.0000 0.2442
Sb1 Sb 0.6667 0.3333 0.0000
Te1 Te 0.3333 0.6667 0.5000
```



Entry 2:
Starting from a cell relaxed with PBE, the XRD peak list of Cr2SbTe was simulated for a wavelength of 1.5418 Å.
Peak positions follow from Bragg's law for the DFT cell and can differ from measured ones.

The 8 most intense peaks (2θ from 5° to 70°), in order of rising 2θ:
2θ/deg	I/Imax
30.54	100
37.06	4
42.66	54
44.78	39
53.37	20
57.76	7
62.79	13
63.56	13

```
data_Cr2SbTe
_chemical_formula_sum 'Cr2 Sb1 Te1'
_space_group_name_H-M_alt 'P -6 m 2'
_space_group_IT_number 187
_space_group_name_Hall 'P -6 2'
_cell_length_a 4.2389
_cell_length_b 4.2389
_cell_length_c 4.8516
_cell_angle_alpha 90.00
_cell_angle_beta 90.00
_cell_angle_gamma 120.00
loop_
_atom_site_label
_atom_site_type_symbol
_atom_site_fract_x
_atom_site_fract_y
_atom_site_fract_z
Cr1 Cr 0.0000 0.0000 0.2375
Sb1 Sb 0.6667 0.3333 0.0000
Te1 Te 0.3333 0.6667 0.5000
```



Entry 3:
Starting from a cell relaxed with PBE, the XRD peak list of Cr10Sb3Te7 was simulated for a wavelength of 1.5418 Å.
Peak positions follow from Bragg's law for the DFT cell and can differ from measured ones.

The 10 most intense peaks (2θ from 5° to 70°), in order of rising 2θ:
2θ/deg	I/Imax
28.80	7
29.05	100
38.61	54
44.33	42
51.19	20
53.73	8
53.88	17
59.65	6
60.22	14
69.99	5

```
data_Cr10Sb3Te7
_chemical_formula_sum 'Cr20 Sb6 Te14'
_space_group_name_H-M_alt 'C 1 2 1'
_space_group_IT_number 5
_space_group_name_Hall 'C 2y'
_cell_length_a 13.054
_cell_length_b 7.078
_cell_length_c 10.261
_cell_angle_alpha 90.00
_cell_angle_beta 108.95
_cell_angle_gamma 90.00
loop_
_atom_site_label
_atom_site_type_symbol
_atom_site_fract_x
_atom_site_fract_y
_atom_site_fract_z
Cr1 Cr 0.002 0.000 0.249
Cr2 Cr 0.100 0.504 0.950
Cr3 Cr 0.102 0.503 0.450
Cr4 Cr 0.198 0.000 0.151
Cr5 Cr 0.201 0.003 0.648
Sb1 Sb 0.000 0.835 0.000
Sb2 Sb 0.200 0.835 0.400
Te1 Te 0.000 0.168 0.500
Te2 Te 0.100 0.335 0.200
Te3 Te 0.100 0.669 0.699
Te4 Te 0.201 0.169 0.900
```



Entry 4:
Starting from a cell relaxed with PBE, the XRD peak list of U5CrSb3 was simulated for a wavelength of 1.5418 Å.
Peak positions follow from Bragg's law for the DFT cell and can differ from measured ones.

The 10 most intense peaks (2θ from 5° to 70°), in order of rising 2θ:
2θ/deg	I/Imax
29.89	32
32.55	18
33.65	100
34.01	56
36.40	84
50.67	27
52.82	16
53.07	18
56.10	18
56.21	24

```
data_U5CrSb3
_chemical_formula_sum 'U10 Cr2 Sb6'
_space_group_name_H-M_alt 'P 63/m c m'
_space_group_IT_number 193
_space_group_name_Hall '-P 6c 2'
_cell_length_a 9.1314
_cell_length_b 9.1314
_cell_length_c 5.8674
_cell_angle_alpha 90.00
_cell_angle_beta 90.00
_cell_angle_gamma 120.00
loop_
_atom_site_label
_atom_site_type_symbol
_atom_site_fract_x
_atom_site_fract_y
_atom_site_fract_z
U1 U 0.0000 0.2449 0.2500
U2 U 0.3333 0.6667 0.0000
Cr1 Cr 0.0000 0.0000 0.0000
Sb1 Sb 0.0000 0.3895 0.7500
```



Entry 5:
Starting from a cell relaxed with PBE, the XRD peak list of Zr5CrSb2 was simulated for a wavelength of 1.5418 Å.
Peak positions follow from Bragg's law for the DFT cell and can differ from measured ones.

The 10 most intense peaks (2θ from 5° to 70°), in order of rising 2θ:
2θ/deg	I/Imax
32.12	23
33.11	34
34.09	22
36.01	54
36.92	100
39.60	19
47.53	14
57.87	14
58.50	22
60.44	23

```
data_Zr5CrSb2
_chemical_formula_sum 'Zr20 Cr4 Sb8'
_space_group_name_H-M_alt 'I 4/m c m'
_space_group_IT_number 140
_space_group_name_Hall '-I 4 2c'
_cell_length_a 11.158
_cell_length_b 11.158
_cell_length_c 5.573
_cell_angle_alpha 90.00
_cell_angle_beta 90.00
_cell_angle_gamma 90.00
loop_
_atom_site_label
_atom_site_type_symbol
_atom_site_fract_x
_atom_site_fract_y
_atom_site_fract_z
Zr1 Zr 0.000 0.500 0.250
Zr2 Zr 0.073 0.203 0.000
Cr1 Cr 0.000 0.000 0.250
Sb1 Sb 0.163 0.337 0.500
```



Entry 6:
Starting from a cell relaxed with PBE, the XRD peak list of Zr10CrSb5 was simulated for a wavelength of 1.5418 Å.
Peak positions follow from Bragg's law for the DFT cell and can differ from measured ones.

The 10 most intense peaks (2θ from 5° to 70°), in order of rising 2θ:
2θ/deg	I/Imax
23.83	13
32.06	20
32.92	38
33.86	14
35.75	44
35.92	40
36.71	100
39.46	24
60.22	23
69.05	15

```
data_Zr10CrSb5
_chemical_formula_sum 'Zr20 Cr2 Sb10'
_space_group_name_H-M_alt 'I 4 2 2'
_space_group_IT_number 97
_space_group_name_Hall 'I 4 2'
_cell_length_a 11.232
_cell_length_b 11.232
_cell_length_c 5.583
_cell_angle_alpha 90.00
_cell_angle_beta 90.00
_cell_angle_gamma 90.00
loop_
_atom_site_label
_atom_site_type_symbol
_atom_site_fract_x
_atom_site_fract_y
_atom_site_fract_z
Zr1 Zr 0.000 0.500 0.000
Zr2 Zr 0.077 0.213 0.262
Cr1 Cr 0.000 0.000 0.500
Sb1 Sb 0.000 0.000 0.000
Sb2 Sb 0.163 0.337 0.750
```



Entry 7:
Starting from a cell relaxed with PBE, the XRD peak list of Sc2Cr4Si5 was simulated for a wavelength of 1.5418 Å.
Peak positions follow from Bragg's law for the DFT cell and can differ from measured ones.

The 10 most intense peaks (2θ from 5° to 70°), in order of rising 2θ:
2θ/deg	I/Imax
36.70	26
39.49	57
40.08	69
40.95	41
41.17	71
41.84	93
42.28	100
44.06	62
48.16	22
50.41	28

```
data_Sc2Cr4Si5
_chemical_formula_sum 'Sc8 Cr16 Si20'
_space_group_name_H-M_alt 'I b a m'
_space_group_IT_number 72
_space_group_name_Hall '-I 2 2c'
_cell_length_a 7.561
_cell_length_b 16.130
_cell_length_c 4.898
_cell_angle_alpha 90.00
_cell_angle_beta 90.00
_cell_angle_gamma 90.00
loop_
_atom_site_label
_atom_site_type_symbol
_atom_site_fract_x
_atom_site_fract_y
_atom_site_fract_z
Sc1 Sc 0.119 0.142 0.000
Cr1 Cr 0.000 0.309 0.250
Cr2 Cr 0.246 0.438 0.000
Si1 Si 0.000 0.000 0.250
Si2 Si 0.078 0.436 0.500
Si3 Si 0.207 0.211 0.500
```



Entry 8:
Starting from a cell relaxed with PBE, the XRD peak list of Cr3Se was simulated for a wavelength of 1.5418 Å.
Peak positions follow from Bragg's law for the DFT cell and can differ from measured ones.

The 10 most intense peaks (2θ from 5° to 70°), in order of rising 2θ:
2θ/deg	I/Imax
21.56	2
27.88	4
36.59	1
41.93	1
42.87	100
43.94	23
52.71	26
57.60	1
60.67	1
69.53	1

```
data_Cr3Se
_chemical_formula_sum 'Cr6 Se2'
_space_group_name_H-M_alt 'I 4/m m m'
_space_group_IT_number 139
_space_group_name_Hall '-I 4 2'
_cell_length_a 3.473
_cell_length_b 3.473
_cell_length_c 8.242
_cell_angle_alpha 90.00
_cell_angle_beta 90.00
_cell_angle_gamma 90.00
loop_
_atom_site_label
_atom_site_type_symbol
_atom_site_fract_x
_atom_site_fract_y
_atom_site_fract_z
Cr1 Cr 0.000 0.000 0.000
Cr2 Cr 0.000 0.500 0.250
Se1 Se 0.000 0.000 0.500
```



Entry 9:
Starting from a cell relaxed with PBE, the XRD peak list of Cr2Se3 was simulated for a wavelength of 1.5418 Å.
Peak positions follow from Bragg's law for the DFT cell and can differ from measured ones.

The 10 most intense peaks (2θ from 5° to 70°), in order of rising 2θ:
2θ/deg	I/Imax
15.09	28
31.97	94
32.12	66
32.37	49
32.52	70
41.71	29
41.87	29
42.28	43
42.53	26
50.09	100

```
data_Cr2Se3
_chemical_formula_sum 'Cr8 Se12'
_space_group_name_H-M_alt 'P -1'
_space_group_IT_number 2
_space_group_name_Hall '-P 1'
_cell_length_a 6.965
_cell_length_b 7.292
_cell_length_c 8.582
_cell_angle_alpha 89.13
_cell_angle_beta 75.74
_cell_angle_gamma 73.79
loop_
_atom_site_label
_atom_site_type_symbol
_atom_site_fract_x
_atom_site_fract_y
_atom_site_fract_z
Cr1 Cr 0.025 0.252 0.001
Cr2 Cr 0.319 0.405 0.655
Cr3 Cr 0.329 0.671 0.171
Cr4 Cr 0.348 0.926 0.658
Se1 Se 0.039 0.979 0.191
Se2 Se 0.058 0.489 0.196
Se3 Se 0.277 0.178 0.468
Se4 Se 0.292 0.684 0.474
Se5 Se 0.377 0.651 0.859
Se6 Se 0.397 0.149 0.857
```



Entry 10:
Starting from a cell relaxed with PBE, the XRD peak list of Cr3Se4 was simulated for a wavelength of 1.5418 Å.
Peak positions follow from Bragg's law for the DFT cell and can differ from measured ones.

The 10 most intense peaks (2θ from 5° to 70°), in order of rising 2θ:
2θ/deg	I/Imax
31.26	29
31.63	98
32.02	100
40.79	17
41.24	52
41.86	39
42.02	25
49.18	60
49.55	31
54.96	22

```
data_Cr3Se4
_chemical_formula_sum 'Cr6 Se8'
_space_group_name_H-M_alt 'C 1 2/m 1'
_space_group_IT_number 12
_space_group_name_Hall '-C 2y'
_cell_length_a 13.340
_cell_length_b 3.680
_cell_length_c 6.435
_cell_angle_alpha 90.00
_cell_angle_beta 117.19
_cell_angle_gamma 90.00
loop_
_atom_site_label
_atom_site_type_symbol
_atom_site_fract_x
_atom_site_fract_y
_atom_site_fract_z
Cr1 Cr 0.000 0.000 0.000
Cr2 Cr 0.238 0.500 0.718
Se1 Se 0.123 0.000 0.451
Se2 Se 0.134 0.500 0.977
```



Entry 11:
Starting from a cell relaxed with PBE, the XRD peak list of Cr5Se8 was simulated for a wavelength of 1.5418 Å.
Peak positions follow from Bragg's law for the DFT cell and can differ from measured ones.

The 10 most intense peaks (2θ from 5° to 70°), in order of rising 2θ:
2θ/deg	I/Imax
15.26	21
31.98	41
32.24	31
32.54	100
41.82	18
42.14	21
42.61	30
50.12	40
50.35	19
55.49	19

```
data_Cr5Se8
_chemical_formula_sum 'Cr10 Se16'
_space_group_name_H-M_alt 'C 1 2/m 1'
_space_group_IT_number 12
_space_group_name_Hall '-C 2y'
_cell_length_a 11.616
_cell_length_b 7.249
_cell_length_c 8.489
_cell_angle_alpha 90.00
_cell_angle_beta 131.94
_cell_angle_gamma 90.00
loop_
_atom_site_label
_atom_site_type_symbol
_atom_site_fract_x
_atom_site_fract_y
_atom_site_fract_z
Cr1 Cr 0.000 0.000 0.000
Cr2 Cr 0.000 0.272 0.500
Cr3 Cr 0.229 0.500 0.986
Se1 Se 0.021 0.000 0.322
Se2 Se 0.047 0.500 0.333
Se3 Se 0.213 0.244 0.171
```



Entry 12:
Starting from a cell relaxed with PBE, the XRD peak list of Cr2Se3 was simulated for a wavelength of 1.5418 Å.
Peak positions follow from Bragg's law for the DFT cell and can differ from measured ones.

The 10 most intense peaks (2θ from 5° to 70°), in order of rising 2θ:
2θ/deg	I/Imax
15.04	18
30.36	13
31.97	59
32.14	100
32.22	16
41.69	30
41.92	30
42.07	30
49.82	42
49.99	21

```
data_Cr2Se3
_chemical_formula_sum 'Cr8 Se12'
_space_group_name_H-M_alt 'P -1'
_space_group_IT_number 2
_space_group_name_Hall '-P 1'
_cell_length_a 6.912
_cell_length_b 7.325
_cell_length_c 8.650
_cell_angle_alpha 90.53
_cell_angle_beta 104.11
_cell_angle_gamma 104.93
loop_
_atom_site_label
_atom_site_type_symbol
_atom_site_fract_x
_atom_site_fract_y
_atom_site_fract_z
Cr1 Cr 0.008 0.260 0.483
Cr2 Cr 0.314 0.065 0.839
Cr3 Cr 0.324 0.594 0.826
Cr4 Cr 0.328 0.827 0.324
Se1 Se 0.052 0.760 0.810
Se2 Se 0.061 0.269 0.794
Se3 Se 0.274 0.572 0.526
Se4 Se 0.276 0.065 0.527
Se5 Se 0.394 0.096 0.138
Se6 Se 0.407 0.607 0.132
```



Please write out number 7 again, unchanged.
Starting from a cell relaxed with PBE, the XRD peak list of Sc2Cr4Si5 was simulated for a wavelength of 1.5418 Å.
Peak positions follow from Bragg's law for the DFT cell and can differ from measured ones.

The 10 most intense peaks (2θ from 5° to 70°), in order of rising 2θ:
2θ/deg	I/Imax
36.70	26
39.49	57
40.08	69
40.95	41
41.17	71
41.84	93
42.28	100
44.06	62
48.16	22
50.41	28

```
data_Sc2Cr4Si5
_chemical_formula_sum 'Sc8 Cr16 Si20'
_space_group_name_H-M_alt 'I b a m'
_space_group_IT_number 72
_space_group_name_Hall '-I 2 2c'
_cell_length_a 7.561
_cell_length_b 16.130
_cell_length_c 4.898
_cell_angle_alpha 90.00
_cell_angle_beta 90.00
_cell_angle_gamma 90.00
loop_
_atom_site_label
_atom_site_type_symbol
_atom_site_fract_x
_atom_site_fract_y
_atom_site_fract_z
Sc1 Sc 0.119 0.142 0.000
Cr1 Cr 0.000 0.309 0.250
Cr2 Cr 0.246 0.438 0.000
Si1 Si 0.000 0.000 0.250
Si2 Si 0.078 0.436 0.500
Si3 Si 0.207 0.211 0.500
```